Simulated X-ray diffraction stick pattern
Compound: PrDy3Tl
Radiation: λ = 1.5418 Å (Cu Kα)
Structure: the PBE geometry in Alexandria
Intensities are scaled so that the largest is 100.

Structural model:
abc: 13.013 13.013 4.855
angles: 90.00 90.00 158.30
Element x y z (fractional)
Pr: 0.147 0.853 0.750
Pr: 0.853 0.147 0.250
Dy: 0.046 0.954 0.250
Dy: 0.251 0.749 0.250
Dy: 0.449 0.551 0.250
Dy: 0.551 0.449 0.750
Dy: 0.749 0.251 0.750
Dy: 0.954 0.046 0.750
Tl: 0.346 0.654 0.750
Tl: 0.654 0.346 0.250

Largest 10 diffraction maxima, sorted by position, 2θ = 10–90°:
- d = 2.859 Å, I 100.0
- d = 2.556 Å, I 18.0
- d = 2.449 Å, I 16.5
- d = 2.427 Å, I 16.1
- d = 1.768 Å, I 12.0
- d = 1.760 Å, I 11.9
- d = 1.528 Å, I 14.3
- d = 1.481 Å, I 13.8
- d = 1.472 Å, I 13.5
- d = 1.429 Å, I 12.0